(1)
For Rb2LiCoF6, a DFT-relaxed cell (PBE+U, the Materials Project) gives the theoretical powder XRD pattern in this record (Cu Ka).

Structural model:
```
data_Rb2LiCoF6
_cell_length_a 8.2381
_cell_length_b 8.2381
_cell_length_c 8.2381
_cell_angle_alpha 90.00
_cell_angle_beta 90.00
_cell_angle_gamma 90.00
_symmetry_space_group_name_H-M 'F m -3 m'
_symmetry_Int_Tables_number 225
_symmetry_space_group_name_Hall '-F 4 2 3'
loop_
_atom_site_label
_atom_site_fract_x
_atom_site_fract_y
_atom_site_fract_z
Rb1 0.2500 0.2500 0.2500
Li1 0.0000 0.0000 0.0000
Co1 0.0000 0.0000 0.5000
F1 0.0000 0.0000 0.2700
```

Top 12 peaks for 10 to 80 degrees two-theta, sorted by position:
two_theta  d (Å)  I_rel
18.7  4.756  300
21.6  4.119  113
30.7  2.913  1000
36.2  2.484  86
37.8  2.378  438
44.0  2.060  535
49.5  1.842  67
54.6  1.682  376
58.2  1.585  53
63.9  1.456  304
72.6  1.303  183
76.7  1.242  121


(2)
For SrLiCoF6, a DFT-relaxed cell (PBE+U, the Materials Project) gives the theoretical powder XRD pattern in this record (Cu Ka).

Structural model:
```
data_SrLiCoF6
_cell_length_a 5.3743
_cell_length_b 8.8258
_cell_length_c 10.3653
_cell_angle_alpha 90.00
_cell_angle_beta 92.63
_cell_angle_gamma 90.00
_symmetry_space_group_name_H-M 'P 1 21/c 1'
_symmetry_Int_Tables_number 14
_symmetry_space_group_name_Hall '-P 2ybc'
loop_
_atom_site_label
_atom_site_fract_x
_atom_site_fract_y
_atom_site_fract_z
Sr1 0.2466 0.2048 0.4988
Li1 0.2836 0.5781 0.7447
Co1 0.2155 0.5837 0.2591
F1 0.0025 0.0377 0.6383
F2 0.0824 0.0948 0.1431
F3 0.1172 0.7484 0.6519
F4 0.3680 0.0775 0.8509
F5 0.3909 0.7352 0.3626
F6 0.4907 0.5487 0.1400
```

Top 12 peaks for 10 to 80 degrees two-theta, sorted by position:
two_theta  d (Å)  I_rel
13.2  6.717  116
20.9  4.256  200
21.5  4.134  197
21.9  4.060  196
25.4  3.502  648
26.5  3.364  1000
38.6  2.330  116
39.3  2.292  212
40.3  2.239  114
43.8  2.067  145
47.7  1.908  185
50.5  1.807  246


(3)
For LiTiCoF6, a DFT-relaxed cell (PBE+U, the Materials Project) gives the theoretical powder XRD pattern in this record (Cu Ka).

Structural model:
```
data_LiTiCoF6
_cell_length_a 8.8014
_cell_length_b 8.8014
_cell_length_c 4.6567
_cell_angle_alpha 90.00
_cell_angle_beta 90.00
_cell_angle_gamma 120.00
_symmetry_space_group_name_H-M 'P 3 2 1'
_symmetry_Int_Tables_number 150
_symmetry_space_group_name_Hall 'P 3 2"'
loop_
_atom_site_label
_atom_site_fract_x
_atom_site_fract_y
_atom_site_fract_z
Li1 0.0000 0.6871 0.0000
Ti1 0.0000 0.3454 0.5000
Co1 0.0000 0.0000 0.5000
Co2 0.3333 0.6667 0.9917
F1 0.1006 0.5520 0.7412
F2 0.1098 0.2409 0.7374
F3 0.2030 0.4388 0.2516
```

Top 12 peaks for 10 to 80 degrees two-theta, sorted by position:
two_theta  d (Å)  I_rel
20.2  4.401  752
22.4  3.974  683
27.9  3.198  962
30.3  2.949  434
35.3  2.541  204
36.7  2.450  408
40.4  2.230  856
44.0  2.058  187
45.6  1.989  217
53.4  1.717  1000
59.0  1.566  218
63.4  1.467  433


(4)
For MgCoF4, a DFT-relaxed cell (PBE+U, the Materials Project) gives the theoretical powder XRD pattern in this record (Cu Ka).

Structural model:
```
data_MgCoF4
_cell_length_a 5.0190
_cell_length_b 5.0293
_cell_length_c 10.0535
_cell_angle_alpha 90.00
_cell_angle_beta 90.00
_cell_angle_gamma 90.00
_symmetry_space_group_name_H-M 'I 2 2 2'
_symmetry_Int_Tables_number 23
_symmetry_space_group_name_Hall 'I 2 2'
loop_
_atom_site_label
_atom_site_fract_x
_atom_site_fract_y
_atom_site_fract_z
Mg1 0.0000 0.0000 0.0000
Mg2 0.0000 0.0000 0.5000
Co1 0.0000 0.5000 0.2486
F1 0.2459 0.2631 0.1175
F2 0.2471 0.2322 0.8707
```

Top 12 peaks for 10 to 80 degrees two-theta, sorted by position:
two_theta  d (Å)  I_rel
17.6  5.027  141
25.1  3.553  136
30.8  2.901  926
40.1  2.247  82
44.1  2.052  61
51.4  1.777  1000
54.8  1.675  34
61.1  1.516  233
61.2  1.514  116
70.1  1.343  26
75.7  1.257  82
75.8  1.255  43


(5)
For MgCoF5, a DFT-relaxed cell (PBE+U, the Materials Project) gives the theoretical powder XRD pattern in this record (Cu Ka).

Structural model:
```
data_MgCoF5
_cell_length_a 5.1851
_cell_length_b 9.5994
_cell_length_c 7.3548
_cell_angle_alpha 90.00
_cell_angle_beta 109.96
_cell_angle_gamma 90.00
_symmetry_space_group_name_H-M 'P 1 21/c 1'
_symmetry_Int_Tables_number 14
_symmetry_space_group_name_Hall '-P 2ybc'
loop_
_atom_site_label
_atom_site_fract_x
_atom_site_fract_y
_atom_site_fract_z
Mg1 0.0229 0.0125 0.2529
Co1 0.3988 0.2466 0.6017
F1 0.1068 0.1120 0.5751
F2 0.1439 0.1082 0.9891
F3 0.2940 0.6348 0.3469
F4 0.3251 0.1795 0.3328
F5 0.3535 0.6024 0.8036
```

Top 12 peaks for 10 to 80 degrees two-theta, sorted by position:
two_theta  d (Å)  I_rel
18.5  4.800  244
20.4  4.346  595
26.1  3.420  1000
27.4  3.252  696
27.7  3.225  627
46.7  1.946  131
46.9  1.939  382
49.6  1.839  244
53.4  1.715  294
53.8  1.703  252
56.6  1.626  149
57.1  1.613  191


(6)
For MgCoF5, a DFT-relaxed cell (PBE+U, the Materials Project) gives the theoretical powder XRD pattern in this record (Cu Ka).

Structural model:
```
data_MgCoF5
_cell_length_a 8.4875
_cell_length_b 6.1833
_cell_length_c 7.3703
_cell_angle_alpha 90.00
_cell_angle_beta 115.93
_cell_angle_gamma 90.00
_symmetry_space_group_name_H-M 'C 1 2/c 1'
_symmetry_Int_Tables_number 15
_symmetry_space_group_name_Hall '-C 2yc'
loop_
_atom_site_label
_atom_site_fract_x
_atom_site_fract_y
_atom_site_fract_z
Mg1 0.0000 0.0293 0.2500
Co1 0.0000 0.5000 0.0000
F1 0.0000 0.3706 0.2500
F2 0.0120 0.1934 0.9511
F3 0.2404 0.4765 0.6257
```

Top 12 peaks for 10 to 80 degrees two-theta, sorted by position:
two_theta  d (Å)  I_rel
18.5  4.805  405
23.3  3.817  908
26.9  3.319  267
28.2  3.166  1000
28.9  3.092  386
47.7  1.908  338
49.5  1.843  208
50.8  1.799  414
56.2  1.636  128
56.6  1.625  206
58.3  1.583  140
72.2  1.308  125


(7)
For MgCo6O7F5, a DFT-relaxed cell (PBE+U, the Materials Project) gives the theoretical powder XRD pattern in this record (Cu Ka).

Structural model:
```
data_MgCo6O7F5
_cell_length_a 5.0712
_cell_length_b 5.6694
_cell_length_c 7.6699
_cell_angle_alpha 80.50
_cell_angle_beta 81.74
_cell_angle_gamma 79.28
_symmetry_space_group_name_H-M 'P 1'
_symmetry_Int_Tables_number 1
_symmetry_space_group_name_Hall 'P 1'
loop_
_atom_site_label
_atom_site_fract_x
_atom_site_fract_y
_atom_site_fract_z
Mg1 0.0000 0.0000 0.0000
Co1 0.0239 0.3647 0.1859
Co2 0.4958 0.1618 0.8202
Co3 0.4975 0.8401 0.1771
Co4 0.5681 0.5521 0.5223
Co5 0.9749 0.6341 0.8080
Co6 0.9886 0.9917 0.4999
O1 0.3048 0.1328 0.0637
O2 0.3068 0.7947 0.4104
O3 0.3289 0.4693 0.7279
O4 0.6937 0.8691 0.9376
O5 0.6996 0.5568 0.2824
O6 0.7065 0.2166 0.5980
O7 0.8062 0.7237 0.5918
F1 0.1722 0.2635 0.4125
F2 0.1763 0.9749 0.7544
F3 0.1780 0.6590 0.0623
F4 0.8275 0.3471 0.9456
F5 0.8288 0.0399 0.2486
```

Top 12 peaks for 10 to 80 degrees two-theta, sorted by position:
two_theta  d (Å)  I_rel
22.9  3.889  1000
28.7  3.115  768
35.7  2.513  539
35.9  2.504  211
36.3  2.476  325
46.7  1.945  170
49.1  1.856  136
49.3  1.849  140
50.0  1.825  154
55.7  1.651  156
59.3  1.558  144
63.8  1.459  149


(8)
For MgCo6O7F5, a DFT-relaxed cell (PBE+U, the Materials Project) gives the theoretical powder XRD pattern in this record (Cu Ka).

Structural model:
```
data_MgCo6O7F5
_cell_length_a 5.0615
_cell_length_b 5.6235
_cell_length_c 7.4106
_cell_angle_alpha 83.42
_cell_angle_beta 83.46
_cell_angle_gamma 80.65
_symmetry_space_group_name_H-M 'P 1'
_symmetry_Int_Tables_number 1
_symmetry_space_group_name_Hall 'P 1'
loop_
_atom_site_label
_atom_site_fract_x
_atom_site_fract_y
_atom_site_fract_z
Mg1 0.0000 0.0000 0.0000
Co1 0.0084 0.9937 0.4932
Co2 0.0854 0.4007 0.1951
Co3 0.4976 0.1484 0.8118
Co4 0.5062 0.8261 0.1726
Co5 0.5107 0.4941 0.4855
Co6 0.9777 0.6025 0.8000
O1 0.1421 0.3226 0.9318
O2 0.1728 0.0211 0.2477
O3 0.1812 0.6784 0.5814
O4 0.3689 0.5322 0.2553
O5 0.8446 0.3131 0.4004
O6 0.8522 0.6733 0.0705
O7 0.8559 0.9622 0.7420
F1 0.3363 0.1881 0.5755
F2 0.3528 0.8337 0.9204
F3 0.6319 0.1327 0.0707
F4 0.6578 0.4716 0.7285
F5 0.6791 0.8115 0.4105
```

Top 12 peaks for 10 to 80 degrees two-theta, sorted by position:
two_theta  d (Å)  I_rel
23.7  3.761  1000
28.7  3.110  908
30.5  2.931  188
35.6  2.520  529
35.9  2.504  329
36.1  2.485  296
36.8  2.442  285
39.5  2.282  177
50.2  1.818  198
57.1  1.613  176
63.7  1.462  192
64.8  1.440  215


(9)
For MgCo6O6F6, a DFT-relaxed cell (PBE+U, the Materials Project) gives the theoretical powder XRD pattern in this record (Cu Ka).

Structural model:
```
data_MgCo6O6F6
_cell_length_a 4.8759
_cell_length_b 4.8843
_cell_length_c 9.0978
_cell_angle_alpha 88.77
_cell_angle_beta 88.33
_cell_angle_gamma 86.96
_symmetry_space_group_name_H-M 'P 1'
_symmetry_Int_Tables_number 1
_symmetry_space_group_name_Hall 'P 1'
loop_
_atom_site_label
_atom_site_fract_x
_atom_site_fract_y
_atom_site_fract_z
Mg1 0.0000 0.0000 0.0000
Co1 0.0187 0.5455 0.6894
Co2 0.0866 0.5004 0.3621
Co3 0.3882 0.5204 0.0188
Co4 0.4943 0.9782 0.2107
Co5 0.5065 0.9778 0.8324
Co6 0.6128 0.0807 0.5213
O1 0.2221 0.7342 0.8570
O2 0.2514 0.6967 0.1999
O3 0.3621 0.2090 0.3599
O4 0.3678 0.1398 0.0145
O5 0.7007 0.8267 0.6812
O6 0.8754 0.3211 0.5116
F1 0.2218 0.7317 0.5194
F2 0.3505 0.2535 0.6790
F3 0.7324 0.7254 0.0297
F4 0.7476 0.7916 0.3651
F5 0.8209 0.2464 0.8510
F6 0.8282 0.1926 0.1698
```

Top 12 peaks for 10 to 80 degrees two-theta, sorted by position:
two_theta  d (Å)  I_rel
20.5  4.341  343
25.2  3.539  828
26.5  3.358  1000
28.3  3.156  325
34.4  2.606  326
34.5  2.597  596
35.2  2.551  509
40.0  2.256  395
40.2  2.244  338
51.7  1.769  348
52.3  1.749  357
61.2  1.515  380


(10)
For MgCo6O7F5, a DFT-relaxed cell (PBE+U, the Materials Project) gives the theoretical powder XRD pattern in this record (Cu Ka).

Structural model:
```
data_MgCo6O7F5
_cell_length_a 5.0977
_cell_length_b 5.1619
_cell_length_c 8.7397
_cell_angle_alpha 91.52
_cell_angle_beta 90.49
_cell_angle_gamma 102.23
_symmetry_space_group_name_H-M 'P 1'
_symmetry_Int_Tables_number 1
_symmetry_space_group_name_Hall 'P 1'
loop_
_atom_site_label
_atom_site_fract_x
_atom_site_fract_y
_atom_site_fract_z
Mg1 0.0000 0.0000 0.0000
Co1 0.4830 0.9408 0.9943
Co2 0.4876 0.9524 0.6516
Co3 0.5291 0.9637 0.3308
Co4 0.8881 0.5308 0.1586
Co5 0.8976 0.5247 0.5030
Co6 0.9616 0.4655 0.8223
O1 0.1439 0.6657 0.9867
O2 0.1509 0.6543 0.6603
O3 0.6653 0.7869 0.4917
O4 0.7067 0.8002 0.1531
O5 0.7508 0.2719 0.6677
O6 0.7706 0.3000 0.3297
O7 0.7842 0.2717 0.9876
F1 0.1759 0.6706 0.3190
F2 0.2611 0.1296 0.8367
F3 0.2905 0.1193 0.1572
F4 0.3085 0.1040 0.4893
F5 0.6924 0.7979 0.8256
```

Top 12 peaks for 10 to 80 degrees two-theta, sorted by position:
two_theta  d (Å)  I_rel
22.3  3.993  1000
27.7  3.219  711
35.1  2.554  234
35.5  2.530  182
35.6  2.521  152
35.9  2.498  159
36.1  2.491  269
47.7  1.905  172
48.6  1.874  225
53.8  1.704  137
55.1  1.667  215
63.9  1.456  186


(11)
For MgCo6O7F5, a DFT-relaxed cell (PBE+U, the Materials Project) gives the theoretical powder XRD pattern in this record (Cu Ka).

Structural model:
```
data_MgCo6O7F5
_cell_length_a 4.9460
_cell_length_b 4.9912
_cell_length_c 8.8176
_cell_angle_alpha 89.76
_cell_angle_beta 89.83
_cell_angle_gamma 78.64
_symmetry_space_group_name_H-M 'P 1'
_symmetry_Int_Tables_number 1
_symmetry_space_group_name_Hall 'P 1'
loop_
_atom_site_label
_atom_site_fract_x
_atom_site_fract_y
_atom_site_fract_z
Mg1 0.0000 0.0000 0.0000
Co1 0.0434 0.5247 0.1850
Co2 0.0567 0.5370 0.8095
Co3 0.4732 0.9468 0.6672
Co4 0.4749 0.9450 0.3296
Co5 0.5144 0.9092 0.0027
Co6 0.9641 0.4337 0.4988
O1 0.1893 0.2566 0.6584
O2 0.1887 0.2702 0.3324
O3 0.2976 0.7963 0.1538
O4 0.3023 0.8011 0.8495
O5 0.7788 0.6557 0.6524
O6 0.7815 0.6488 0.3353
O7 0.8365 0.6455 0.0056
F1 0.2388 0.2666 0.0047
F2 0.2954 0.7794 0.4953
F3 0.6662 0.1336 0.4921
F4 0.7000 0.0964 0.8492
F5 0.6998 0.1018 0.1527
```

Top 12 peaks for 10 to 80 degrees two-theta, sorted by position:
two_theta  d (Å)  I_rel
18.1  4.893  118
23.1  3.844  1000
28.3  3.148  698
35.6  2.524  217
35.7  2.514  585
36.7  2.447  115
42.1  2.148  137
49.4  1.846  245
49.6  1.839  143
55.2  1.665  263
58.6  1.574  134
63.3  1.470  137